For KMo2P4O14, DFT lattice parameters and positions (GGA+U) gives the calculated PXRD pattern in this record (Cu Kα X-rays).
Peak positions follow from Bragg's law for the DFT cell and can differ from measured ones.

Principal peaks in the range 10 to 90 degrees two-theta, in order of falling intensity:
16.2°, I = 1000; 28.3°, I = 801; 24.6°, I = 570; 21.8°, I = 522; 16.5°, I = 429; 29.7°, I = 400; 22.7°, I = 340; 33.3°, I = 214

Cell and atoms:
a = 5.008 Å, b = 7.374 Å, c = 8.351 Å
α = 90.21°, β = 93.55°, γ = 104.17°
Sites, in units of the cell vectors:
K 0.000 0.000 0.000
Mo 0.000 0.000 0.500
Mo 0.500 0.500 0.000
P 0.003 0.389 0.251
P 0.376 0.764 0.299
P 0.624 0.236 0.701
P 0.997 0.611 0.749
O 0.082 0.782 0.651
O 0.167 0.348 0.107
O 0.179 0.893 0.301
O 0.205 0.555 0.354
O 0.247 0.540 0.812
O 0.381 0.187 0.580
O 0.449 0.740 0.123
O 0.551 0.260 0.877
O 0.619 0.813 0.420
O 0.753 0.460 0.188
O 0.795 0.445 0.646
O 0.821 0.107 0.699
O 0.833 0.652 0.893
O 0.918 0.218 0.349